Structure and computed powder diffractogram of Cs2InAgCl6 (the PBE geometry in the Materials Project; a wavelength of 1.5418 Å).
Intensities are scaled so that the largest is 1000.

The 6 most intense peaks (5° ≤ 2θ ≤ 70°), in order of rising 2θ:
| 2θ (°) | d/Å | I (rel.) | index |
| --- | --- | --- | --- |
| 23.6 | 3.776 | 1000 | 2 2 0 |
| 33.6 | 2.670 | 576 | 4 0 0 |
| 41.4 | 2.180 | 453 | 4 2 2 |
| 48.2 | 1.888 | 388 | 4 4 0 |
| 54.3 | 1.689 | 209 | 6 2 0 |
| 65.4 | 1.427 | 237 | 6 4 2 |

Cell: 10.6804 10.6804 10.6804 Å, 90.00 90.00 90.00°
Space group Fm-3m (No. 225)
One atom of each set of equivalent atoms:
Cs 0.2500 0.2500 0.2500 (multiplicity 8)
In 0.0000 0.0000 0.0000 (multiplicity 4)
Ag 0.0000 0.0000 0.5000 (multiplicity 4)
Cl 0.0000 0.0000 0.2406 (multiplicity 24)

---

Structure and computed powder diffractogram of Cs2LaAgCl6 (the PBE geometry in the Materials Project; a wavelength of 1.5418 Å).
Intensities are scaled so that the largest is 1000.

The 6 most intense peaks (5° ≤ 2θ ≤ 70°), in order of rising 2θ:
| 2θ (°) | d/Å | I (rel.) | index |
| --- | --- | --- | --- |
| 22.6 | 3.926 | 1000 | 2 2 0 |
| 32.2 | 2.776 | 571 | 4 0 0 |
| 39.8 | 2.267 | 467 | 4 2 2 |
| 46.2 | 1.963 | 394 | 4 4 0 |
| 52.1 | 1.756 | 214 | 6 2 0 |
| 62.6 | 1.484 | 247 | 6 4 2 |

Cell: 11.1045 11.1045 11.1045 Å, 90.00 90.00 90.00°
Space group Fm-3m (No. 225)
One atom of each set of equivalent atoms:
Cs 0.2500 0.2500 0.2500 (multiplicity 8)
La 0.0000 0.0000 0.0000 (multiplicity 4)
Ag 0.0000 0.0000 0.5000 (multiplicity 4)
Cl 0.0000 0.0000 0.2500 (multiplicity 24)

---

Structure and computed powder diffractogram of Cs2AgMoCl6 (the PBE geometry in the Materials Project; a wavelength of 1.5418 Å).
Intensities are scaled so that the largest is 1000.

The 6 most intense peaks (5° ≤ 2θ ≤ 70°), in order of rising 2θ:
| 2θ (°) | d/Å | I (rel.) | index |
| --- | --- | --- | --- |
| 23.9 | 3.722 | 1000 | 2 2 0 |
| 34.1 | 2.632 | 583 | 4 0 0 |
| 42.0 | 2.149 | 441 | 4 2 2 |
| 48.9 | 1.861 | 387 | 4 4 0 |
| 55.2 | 1.665 | 211 | 6 2 0 |
| 66.5 | 1.407 | 236 | 6 4 2 |

Cell: 10.5280 10.5280 10.5280 Å, 90.00 90.00 90.00°
Space group Fm-3m (No. 225)
One atom of each set of equivalent atoms:
Cs 0.2500 0.2500 0.2500 (multiplicity 8)
Ag 0.0000 0.0000 0.0000 (multiplicity 4)
Mo 0.0000 0.0000 0.5000 (multiplicity 4)
Cl 0.0000 0.0000 0.2644 (multiplicity 24)